Starting from a DFT-relaxed cell (PBE, the Materials Project), the powder diffractogram of Fe5GeP was computed for Cu Ka.

Structural model:
```
Fe5GeP
1.0
3.3834 -5.8156 0.0000
3.3834 5.8156 0.0000
-0.1120 0.0000 12.4582
Fe Ge P
30 6 6
Direct
0.0000 0.0000 0.0000
0.9996 0.3494 0.0418
0.0035 0.7414 0.3344
0.0047 0.6777 0.1296
0.0065 0.3849 0.2457
0.0145 0.0145 0.4971
0.0196 0.6381 0.5190
0.2818 0.9989 0.8322
0.2844 0.2844 0.3413
0.3218 0.9915 0.6193
0.3260 0.6712 0.3635
0.3313 0.3313 0.1297
0.3344 0.6655 0.8424
0.3494 0.9996 0.0418
0.3602 0.3602 0.5391
0.3667 0.3667 0.7354
0.3849 0.0065 0.2457
0.6355 0.9963 0.7302
0.6358 0.6358 0.2414
0.6381 0.0196 0.5190
0.6513 0.6513 0.0395
0.6655 0.3344 0.8424
0.6712 0.3260 0.3635
0.6777 0.0047 0.1296
0.6824 0.6824 0.6241
0.7218 0.7218 0.8326
0.7414 0.0035 0.3344
0.9915 0.3218 0.6193
0.9963 0.6355 0.7302
0.9989 0.2818 0.8322
0.0031 0.6570 0.9334
0.0062 0.0062 0.6976
0.0091 0.0091 0.1994
0.3417 0.3417 0.9357
0.6570 0.0031 0.9334
0.6668 0.6668 0.4353
0.3277 0.6645 0.6578
0.3306 0.9966 0.4324
0.3385 0.6703 0.1735
0.6645 0.3277 0.6578
0.6703 0.3385 0.1735
0.9966 0.3306 0.4324
```

Principal peaks in the range 2θ from 10° to 90°, low angle first:
33.99°, I = 9
42.55°, I = 20
44.99°, I = 28
45.19°, I = 40
45.39°, I = 71
46.59°, I = 100
46.87°, I = 46
51.86°, I = 9
66.99°, I = 11
86.86°, I = 11